# AgBi2S3Br
Calculated PXRD pattern, CuKα. Input: a structure optimized by DFT (GGA-PBE).

The 10 most intense peaks (10 to 90 degrees two-theta), low angle first:
| 2theta | d/Å | intensity |
| --- | --- | --- |
| 15.3 | 5.778 | 26 |
| 25.4 | 3.501 | 80 |
| 27.5 | 3.242 | 100 |
| 32.0 | 2.797 | 82 |
| 33.0 | 2.712 | 34 |
| 34.2 | 2.618 | 26 |
| 43.0 | 2.105 | 32 |
| 43.7 | 2.072 | 33 |
| 44.8 | 2.022 | 44 |
| 47.6 | 1.911 | 23 |

Structure:
```
14
Lattice="7.9042 0.0000 0.0000 0.0000 4.0448 0.0000 -2.2216 0.0000 10.8468" Properties=species:S:1:pos:R:3 pbc="T T T"
Ag -0.4052 1.0112 4.3867
Ag 6.0878 3.0336 6.4601
Bi -0.6156 1.0112 10.0077
Bi 2.1031 3.0336 7.0276
Bi 3.5795 1.0112 3.8192
Bi 6.2982 3.0336 0.8391
S 0.0024 1.0112 1.5640
S 0.0527 1.0112 7.1414
S 1.6193 3.0336 4.4678
S 4.0633 1.0112 6.3790
S 5.6299 3.0336 3.7055
S 5.6802 3.0336 9.2828
Br 2.9733 3.0336 1.1752
Br 2.7093 1.0112 9.6716
```